# 1
# Zr3CdRe2
Calculated X-ray powder pattern, copper Kα. Input: a structure optimized by DFT (PBE).
Intensities are scaled so that the largest is 100.

Crystal structure
```
6
Lattice="3.342 0.000 0.000 0.000 3.342 0.000 0.000 0.000 10.529" Properties=species:S:1:pos:R:3 pbc="T T T"
Zr 0.000 0.000 0.000
Zr 0.000 0.000 3.220
Zr 0.000 0.000 7.310
Cd 1.671 1.671 5.265
Re 1.671 1.671 1.700
Re 1.671 1.671 8.830
```

Most intense lines, 2θ from 5° to 70°, low angle first:
8.40°, rel. 16.7; 37.15°, rel. 100.0; 38.08°, rel. 50.1; 54.95°, rel. 17.1; 66.35°, rel. 14.6; 68.20°, rel. 33.0

# 2
# Cd6Rh
Calculated X-ray powder pattern, copper Kα. Input: a structure optimized by DFT (PBE).
Intensities are scaled so that the largest is 100.

Crystal structure
```
14
Lattice="4.174 -3.703 0.000 4.174 3.703 0.000 0.000 0.000 9.590" Properties=species:S:1:pos:R:3 pbc="T T T"
Cd 2.607 2.064 2.397
Cd 4.174 2.569 5.637
Cd 4.174 2.569 8.748
Cd 2.676 0.000 0.000
Cd 2.676 0.000 4.795
Cd 5.740 2.064 2.397
Cd 2.607 -2.064 7.192
Cd 5.672 0.000 0.000
Cd 5.672 0.000 4.795
Cd 4.174 -2.569 0.842
Cd 4.174 -2.569 3.953
Cd 5.740 -2.064 7.192
Rh 4.174 0.291 7.192
Rh 4.174 -0.291 2.397
```

Most intense lines, 2θ from 5° to 70°, low angle first:
30.50°, rel. 38.4; 32.33°, rel. 40.9; 35.72°, rel. 55.9; 37.50°, rel. 100.0; 38.01°, rel. 41.7; 39.37°, rel. 68.4

# 3
# Cd5Rh
Calculated X-ray powder pattern, copper Kα. Input: a structure optimized by DFT (PBE).
Intensities are scaled so that the largest is 100.

Crystal structure
```
12
Lattice="-3.402 3.402 5.617 3.402 -3.402 5.617 3.402 3.402 -5.617" Properties=species:S:1:pos:R:3 pbc="T T T"
Cd 0.000 0.000 0.000
Cd 4.511 1.109 -1.558
Cd 1.109 2.293 -1.558
Cd 4.511 1.109 1.558
Cd 1.109 2.293 1.558
Cd 0.000 0.000 5.617
Cd 2.293 1.109 4.059
Cd -1.109 2.293 4.059
Cd 2.293 1.109 7.175
Cd -1.109 2.293 7.175
Rh 0.000 0.000 2.808
Rh 0.000 0.000 8.425
```

Most intense lines, 2θ from 5° to 70°, low angle first:
30.44°, rel. 100.0; 37.07°, rel. 66.1; 38.11°, rel. 97.5; 41.70°, rel. 72.8; 41.99°, rel. 85.4; 67.22°, rel. 40.2

# 4
# Cd4Rh3
Calculated X-ray powder pattern, copper Kα. Input: a structure optimized by DFT (PBE).
Intensities are scaled so that the largest is 100.

Crystal structure
```
7
Lattice="5.315 0.000 0.000 -2.658 4.603 0.000 0.000 0.000 5.247" Properties=species:S:1:pos:R:3 pbc="T T T"
Cd 0.000 0.000 1.311
Cd 0.000 0.000 3.936
Cd 0.000 3.069 0.000
Cd 2.658 1.534 0.000
Rh -1.329 2.302 2.624
Rh 2.658 0.000 2.624
Rh 1.329 2.302 2.624
```

Most intense lines, 2θ from 5° to 70°, low angle first:
33.73°, rel. 48.2; 37.95°, rel. 62.5; 39.14°, rel. 47.4; 39.54°, rel. 100.0; 42.91°, rel. 72.6; 64.24°, rel. 45.2

# 5
# Sc5Cd2RuRh2
Calculated X-ray powder pattern, copper Kα. Input: a structure optimized by DFT (PBE).
Intensities are scaled so that the largest is 100.

Crystal structure
```
20
Lattice="11.059 0.000 0.000 0.000 11.059 0.000 0.000 0.000 3.278" Properties=species:S:1:pos:R:3 pbc="T T T"
Sc 0.000 5.529 0.000
Sc 0.722 2.124 0.000
Sc 2.124 10.337 0.000
Sc 3.405 4.808 0.000
Sc 4.808 7.654 0.000
Sc 5.529 0.000 0.000
Sc 6.251 3.405 0.000
Sc 7.654 6.251 0.000
Sc 8.935 0.722 0.000
Sc 10.337 8.935 0.000
Cd 1.942 7.471 1.639
Cd 3.588 1.942 1.639
Cd 7.471 9.117 1.639
Cd 9.117 3.588 1.639
Ru 0.000 0.000 1.639
Ru 5.529 5.529 1.639
Rh 1.455 4.075 1.639
Rh 4.075 9.604 1.639
Rh 6.984 1.455 1.639
Rh 9.604 6.984 1.639
```

Most intense lines, 2θ from 5° to 70°, low angle first:
25.47°, rel. 34.4; 33.41°, rel. 32.4; 34.41°, rel. 21.7; 35.74°, rel. 17.2; 37.61°, rel. 100.0; 40.27°, rel. 27.6

# 6
# Sc3CdRh4
Calculated X-ray powder pattern, copper Kα. Input: a structure optimized by DFT (PBE).
Intensities are scaled so that the largest is 100.

Crystal structure
```
8
Lattice="2.281 1.317 7.419 -2.281 1.317 7.419 0.000 -2.634 7.419" Properties=species:S:1:pos:R:3 pbc="T T T"
Sc 0.000 0.000 0.000
Sc 0.000 0.000 5.474
Sc 0.000 0.000 16.783
Cd 0.000 0.000 11.129
Rh 0.000 0.000 2.687
Rh 0.000 0.000 8.296
Rh 0.000 0.000 13.962
Rh 0.000 0.000 19.571
```

Most intense lines, 2θ from 5° to 70°, low angle first:
23.91°, rel. 5.5; 27.69°, rel. 17.1; 36.26°, rel. 4.9; 39.50°, rel. 100.0; 39.62°, rel. 96.8; 57.18°, rel. 31.7

# 7
# Sc2CdRh3
Calculated X-ray powder pattern, copper Kα. Input: a structure optimized by DFT (PBE).
Intensities are scaled so that the largest is 100.

Crystal structure
```
6
Lattice="4.569 0.000 0.000 -2.284 3.957 0.000 0.000 0.000 5.533" Properties=species:S:1:pos:R:3 pbc="T T T"
Sc 0.000 2.638 1.007
Sc 2.284 1.319 4.526
Cd 0.000 0.000 2.767
Rh 0.000 0.000 0.000
Rh 0.000 2.638 3.799
Rh 2.284 1.319 1.735
```

Most intense lines, 2θ from 5° to 70°, low angle first:
22.47°, rel. 7.5; 27.72°, rel. 18.4; 39.45°, rel. 98.8; 39.76°, rel. 100.0; 48.89°, rel. 4.0; 57.25°, rel. 33.1

# 8
# ScCd2Rh
Calculated X-ray powder pattern, copper Kα. Input: a structure optimized by DFT (PBE).
Intensities are scaled so that the largest is 100.

Crystal structure
```
4
Lattice="3.276 0.000 0.000 0.000 3.300 0.000 -0.029 0.000 7.222" Properties=species:S:1:pos:R:3 pbc="T T T"
Sc 0.000 0.000 0.000
Cd -0.011 0.000 3.117
Cd 1.611 1.650 5.116
Rh 1.637 1.650 1.347
```

Most intense lines, 2θ from 5° to 70°, low angle first:
12.26°, rel. 11.6; 36.93°, rel. 100.0; 37.13°, rel. 32.9; 38.73°, rel. 62.6; 69.01°, rel. 11.6; 69.21°, rel. 10.7

# 9
# Cd3SiRh
Calculated X-ray powder pattern, copper Kα. Input: a structure optimized by DFT (PBE).
Intensities are scaled so that the largest is 100.

Crystal structure
```
5
Lattice="5.100 0.000 0.000 0.000 5.100 0.000 0.000 0.000 5.100" Properties=species:S:1:pos:R:3 pbc="T T T"
Cd 0.000 0.000 2.550
Cd 0.000 2.550 0.000
Cd 2.550 0.000 0.000
Si 2.550 2.550 2.550
Rh 0.000 0.000 0.000
```

Most intense lines, 2θ from 5° to 70°, low angle first:
17.39°, rel. 92.0; 30.36°, rel. 62.1; 35.20°, rel. 100.0; 39.51°, rel. 46.5; 50.63°, rel. 68.7; 60.18°, rel. 24.4

# 10
# Cd2Si7Rh12
Calculated X-ray powder pattern, copper Kα. Input: a structure optimized by DFT (PBE).
Intensities are scaled so that the largest is 100.

Crystal structure
```
21
Lattice="9.759 0.000 0.000 -4.880 8.452 0.000 0.000 0.000 3.753" Properties=species:S:1:pos:R:3 pbc="T T T"
Cd 0.000 0.000 0.000
Cd 0.000 5.635 1.877
Si -1.543 3.576 0.000
Si 1.486 2.114 1.877
Si -1.011 8.000 0.000
Si 2.554 5.328 0.000
Si 4.880 2.817 0.000
Si 7.185 0.230 1.877
Si 5.967 6.108 1.877
Rh -0.845 2.087 1.877
Rh -2.166 5.921 0.000
Rh -2.650 8.140 1.877
Rh 0.835 3.616 0.000
Rh 2.862 1.696 0.000
Rh 4.859 0.830 1.877
Rh 3.169 3.829 1.877
Rh 1.331 7.367 0.000
Rh 3.495 6.677 1.877
Rh 6.859 1.630 0.000
Rh 4.918 5.125 0.000
Rh 6.611 3.793 1.877
```

Most intense lines, 2θ from 5° to 70°, low angle first:
27.93°, rel. 15.5; 36.95°, rel. 100.0; 42.80°, rel. 9.9; 46.86°, rel. 11.7; 48.51°, rel. 16.0; 49.43°, rel. 16.4

# 11
# Tm2CdSi2Rh5
Calculated X-ray powder pattern, copper Kα. Input: a structure optimized by DFT (PBE).
Intensities are scaled so that the largest is 100.

Crystal structure
```
20
Lattice="9.765 0.000 0.000 0.000 9.765 0.000 0.000 0.000 3.482" Properties=species:S:1:pos:R:3 pbc="T T T"
Tm 1.702 3.181 0.000
Tm 3.181 8.064 0.000
Tm 6.584 1.702 0.000
Tm 8.064 6.584 0.000
Cd 0.000 0.000 0.000
Cd 4.883 4.883 0.000
Si 1.216 6.099 0.000
Si 3.667 1.216 0.000
Si 6.099 8.549 0.000
Si 8.549 3.667 0.000
Rh 0.000 4.883 1.741
Rh 0.683 7.648 1.741
Rh 2.117 0.683 1.741
Rh 2.766 5.565 1.741
Rh 4.200 2.766 1.741
Rh 4.883 0.000 1.741
Rh 5.565 7.000 1.741
Rh 7.000 4.200 1.741
Rh 7.648 9.083 1.741
Rh 9.083 2.117 1.741
```

Most intense lines, 2θ from 5° to 70°, low angle first:
32.90°, rel. 66.7; 36.66°, rel. 32.1; 37.99°, rel. 65.1; 38.98°, rel. 100.0; 41.35°, rel. 28.2; 42.28°, rel. 27.2

# 12
# Sm3Cd2Rh3
Calculated X-ray powder pattern, copper Kα. Input: a structure optimized by DFT (PBE).
Intensities are scaled so that the largest is 100.

Crystal structure
```
16
Lattice="8.384 0.000 0.000 -4.192 7.261 0.000 0.000 0.000 5.857" Properties=species:S:1:pos:R:3 pbc="T T T"
Sm -1.158 2.006 1.464
Sm -3.033 5.254 4.393
Sm 2.317 0.000 1.464
Sm 1.158 2.006 4.393
Sm 6.067 0.000 4.393
Sm 3.033 5.254 1.464
Cd 0.000 4.840 0.000
Cd 0.000 4.840 2.929
Cd 4.192 2.420 0.000
Cd 4.192 2.420 2.929
Rh -1.617 2.800 4.393
Rh -2.575 4.460 1.464
Rh 3.233 0.000 4.393
Rh 1.617 2.800 1.464
Rh 5.150 0.000 1.464
Rh 2.575 4.460 4.393
```

Most intense lines, 2θ from 5° to 70°, low angle first:
30.53°, rel. 26.0; 36.15°, rel. 86.4; 37.15°, rel. 88.6; 37.46°, rel. 100.0; 53.78°, rel. 23.6; 57.97°, rel. 21.9

# 13
# Sm11Cd9Rh4
Calculated X-ray powder pattern, copper Kα. Input: a structure optimized by DFT (PBE).
Intensities are scaled so that the largest is 100.

Crystal structure
```
24
Lattice="7.324 -11.019 0.000 7.324 11.019 0.000 0.000 0.000 3.771" Properties=species:S:1:pos:R:3 pbc="T T T"
Sm 0.000 0.000 0.000
Sm 3.634 3.696 0.000
Sm 7.324 7.457 0.000
Sm 4.492 0.000 0.000
Sm 7.324 2.816 0.000
Sm 3.634 -3.696 0.000
Sm 11.015 3.696 0.000
Sm 7.324 -2.816 0.000
Sm 10.156 0.000 0.000
Sm 7.324 -7.457 0.000
Sm 11.015 -3.696 0.000
Cd 2.099 1.576 1.886
Cd 5.792 5.257 1.886
Cd 2.099 -1.576 1.886
Cd 8.856 5.257 1.886
Cd 7.324 0.000 1.886
Cd 5.792 -5.257 1.886
Cd 12.550 1.576 1.886
Cd 8.856 -5.257 1.886
Cd 12.550 -1.576 1.886
Rh 5.144 2.209 1.886
Rh 5.144 -2.209 1.886
Rh 9.504 2.209 1.886
Rh 9.504 -2.209 1.886
```

Most intense lines, 2θ from 5° to 70°, low angle first:
32.38°, rel. 10.3; 34.10°, rel. 100.0; 34.59°, rel. 41.1; 36.33°, rel. 15.6; 48.26°, rel. 15.2; 60.73°, rel. 15.7